(1)
This entry pairs a crystal structure of Tl2In5Pb5 with its calculated powder diffractogram. Radiation: copper Kα. Structure: a cell relaxed with PBE.

Structure:
Lattice parameters (Å, degrees): 14.708 4.924 11.076 90.00 116.97 90.00
Space group C2/m (No. 12)
Symmetry-distinct sites (fractional):
Tl1 0.083 0.000 0.248
In1 0.000 0.000 0.500
In2 0.167 0.000 0.998
In3 0.249 0.000 0.750
Pb1 0.000 0.500 0.000
Pb2 0.088 0.500 0.755
Pb3 0.167 0.500 0.504

Largest 8 diffraction maxima, sorted by position, 2θ = 15–90°:
hkl, d (Å), two_theta, Rel. int.
3 1 -3, 2.852, 31.36, 100
3 1 1, 2.829, 31.62, 98
0 2 0, 2.465, 36.45, 67
6 0 -2, 2.451, 36.66, 33
0 2 4, 1.743, 52.50, 24
6 2 -2, 1.737, 52.70, 23
3 3 -3, 1.485, 62.54, 28
3 3 1, 1.482, 62.67, 28

=====

(2)
This entry pairs a crystal structure of Pm4Nd3 with its calculated powder diffractogram. Radiation: copper Kα. Structure: a cell relaxed with PBE.

Structure:
Lattice parameters (Å, degrees): 3.667 3.667 36.305 90.00 90.00 90.00
Space group I4/mmm (No. 139)
Symmetry-distinct sites (fractional):
Pm1 0.000 0.000 0.072
Pm2 0.000 0.000 0.357
Nd1 0.000 0.000 0.214
Nd2 0.000 0.000 0.500

Largest 8 diffraction maxima, sorted by position, 2θ = 15–90°:
hkl, d (Å), two_theta, Rel. int.
1 0 7, 2.994, 29.84, 100
1 1 0, 2.593, 34.59, 51
2 0 0, 1.834, 49.73, 36
2 1 7, 1.564, 59.08, 43
2 0 14, 1.497, 61.99, 12
2 2 0, 1.297, 72.97, 6
3 0 7, 1.190, 80.77, 18
3 1 0, 1.160, 83.33, 16

=====

(3)
This entry pairs a crystal structure of PrDy9Sc2 with its calculated powder diffractogram. Radiation: copper Kα. Structure: a cell relaxed with PBE.

Structure:
Lattice parameters (Å, degrees): 11.0783 11.0783 3.4829 90.00 90.00 120.00
Space group P6/mmm (No. 191)
Symmetry-distinct sites (fractional):
Pr1 0.0000 0.0000 0.0000
Dy1 0.0000 0.5000 0.0000
Dy2 0.1808 0.3617 0.5000
Sc1 0.3333 0.6667 0.0000

Largest 8 diffraction maxima, sorted by position, 2θ = 15–90°:
hkl, d (Å), two_theta, Rel. int.
1 1 1, 2.948, 30.31, 13
2 0 1, 2.818, 31.75, 91
2 2 0, 2.770, 32.32, 100
2 1 1, 2.512, 35.75, 20
4 0 1, 1.975, 45.94, 29
4 2 1, 1.608, 57.29, 30
6 0 0, 1.599, 57.65, 15
2 2 2, 1.474, 63.06, 29

=====

(4)
This entry pairs a crystal structure of CsAlZnF6 with its calculated powder diffractogram. Radiation: copper Kα. Structure: a cell relaxed with PBE.

Structure:
Lattice parameters (Å, degrees): 7.310 7.193 10.285 90.00 90.00 90.00
Space group Pnma (No. 62)
Symmetry-distinct sites (fractional):
Cs1 0.011 0.250 0.128
Al1 0.000 0.000 0.500
Zn1 0.230 0.250 0.758
F1 0.025 0.250 0.459
F2 0.026 0.750 0.169
F3 0.152 0.027 0.638
F4 0.197 0.549 0.397

Largest 8 diffraction maxima, sorted by position, 2θ = 15–90°:
hkl, d (Å), two_theta, Rel. int.
1 1 2, 3.631, 24.52, 52
0 2 0, 3.597, 24.75, 22
2 1 1, 3.106, 28.74, 100
0 1 3, 3.095, 28.85, 35
1 2 1, 3.079, 29.00, 49
1 2 3, 2.350, 38.30, 21
0 3 3, 1.966, 46.17, 30
2 2 4, 1.815, 50.26, 38

=====

(5)
This entry pairs a crystal structure of Zr2VH6 with its calculated powder diffractogram. Radiation: copper Kα. Structure: a cell relaxed with PBE.

Structure:
Lattice parameters (Å, degrees): 3.302 4.499 9.982 90.00 90.00 90.00
Space group Immm (No. 71)
Symmetry-distinct sites (fractional):
Zr1 0.000 0.000 0.162
V1 0.000 0.000 0.500
H1 0.000 0.231 0.342
H2 0.000 0.282 0.000

Largest 8 diffraction maxima, sorted by position, 2θ = 15–90°:
hkl, d (Å), two_theta, Rel. int.
0 1 3, 2.675, 33.50, 100
1 1 0, 2.662, 33.66, 99
1 0 3, 2.344, 38.40, 66
0 2 0, 2.250, 40.08, 28
2 0 0, 1.651, 55.66, 12
1 2 3, 1.623, 56.72, 43
1 1 6, 1.411, 66.24, 25
2 1 3, 1.405, 66.55, 25

=====

(6)
This entry pairs a crystal structure of TcF6 with its calculated powder diffractogram. Radiation: copper Kα. Structure: a cell relaxed with PBE.

Structure:
Lattice parameters (Å, degrees): 6.472 6.472 6.472 90.00 90.00 90.00
Space group Im-3m (No. 229)
Symmetry-distinct sites (fractional):
Tc1 0.000 0.000 0.000
F1 0.000 0.000 0.287

Largest 8 diffraction maxima, sorted by position, 2θ = 15–90°:
hkl, d (Å), two_theta, Rel. int.
1 1 0, 4.576, 19.40, 100
2 0 0, 3.236, 27.56, 29
3 1 0, 2.047, 44.26, 35
3 2 1, 1.730, 52.94, 12
3 3 0, 1.525, 60.71, 15
4 2 0, 1.447, 64.38, 7
4 3 1, 1.269, 74.80, 13
4 3 3, 1.110, 87.98, 8

=====

(7)
This entry pairs a crystal structure of Ho2Er5In4 with its calculated powder diffractogram. Radiation: copper Kα. Structure: a cell relaxed with PBE.

Structure:
Lattice parameters (Å, degrees): 8.546 3.403 10.461 90.00 96.29 90.00
Space group P2/m (No. 10)
Symmetry-distinct sites (fractional):
Ho1 0.085 0.000 0.140
Er1 0.165 0.000 0.646
Er2 0.465 0.000 0.169
Er3 0.500 0.000 0.500
In1 0.198 0.500 0.385
In2 0.248 0.500 0.925

Largest 8 diffraction maxima, sorted by position, 2θ = 15–90°:
hkl, d (Å), two_theta, Rel. int.
2 0 -3, 2.844, 31.46, 25
3 0 0, 2.832, 31.60, 31
1 1 -2, 2.750, 32.56, 39
1 1 2, 2.654, 33.78, 100
1 0 -4, 2.566, 34.97, 27
2 0 3, 2.552, 35.17, 27
2 1 -2, 2.431, 36.97, 43
0 1 6, 1.545, 59.86, 26

=====

(8)
This entry pairs a crystal structure of CuPb3O4 with its calculated powder diffractogram. Radiation: copper Kα. Structure: a cell relaxed with PBE.

Structure:
Lattice parameters (Å, degrees): 4.022 7.926 10.831 90.00 90.00 90.00
Space group Pmmn (No. 59, origin choice 2)
Symmetry-distinct sites (fractional):
Cu1 0.250 0.250 0.196
Pb1 0.250 0.006 0.673
Pb2 0.250 0.750 0.094
O1 0.250 0.010 0.214
O2 0.250 0.250 0.792
O3 0.250 0.750 0.783

Largest 8 diffraction maxima, sorted by position, 2θ = 15–90°:
hkl, d (Å), two_theta, Rel. int.
0 0 2, 5.415, 16.37, 42
0 2 1, 3.722, 23.91, 64
1 0 2, 3.229, 27.63, 100
1 2 1, 2.732, 32.78, 91
0 2 3, 2.669, 33.58, 49
2 0 0, 2.011, 45.08, 23
1 2 4, 1.954, 46.47, 40
1 4 2, 1.689, 54.32, 31